Structure and calculated PXRD pattern of PuTlPd2 (a cell relaxed with PBE; λ = 1.5418 Å (Cu Kα)).
Neutral-atom scattering factors, no anomalous dispersion.

Principal peaks in the range 10° ≤ 2θ ≤ 90°, sorted by position:
Position (°2θ), I/Imax
28.90, 100
31.80, 49
32.27, 83
36.09, 69
40.28, 57
40.53, 84
42.10, 52
54.87, 24
59.86, 55
64.80, 28
66.42, 25
81.84, 28

Atomic structure:
abc: 5.628 4.293 7.272
angles: 90.00 90.00 90.00
Fractional coordinates of all 8 atoms:
Pu 0.250 0.000 0.249
Pu 0.750 0.000 0.751
Tl 0.250 0.500 0.888
Tl 0.750 0.500 0.112
Pd 0.000 0.500 0.500
Pd 0.250 0.000 0.649
Pd 0.500 0.500 0.500
Pd 0.750 0.000 0.351


Structure and calculated PXRD pattern of VNi14Sn (a cell relaxed with PBE; λ = 1.5418 Å (Cu Kα)).
Neutral-atom scattering factors, no anomalous dispersion.

Principal peaks in the range 10° ≤ 2θ ≤ 90°, sorted by position:
Position (°2θ), I/Imax
17.40, 1
21.49, 3
30.76, 2
37.51, 1
39.54, 1
41.63, 1
43.78, 100
50.66, 32
51.66, 15
71.93, 1
74.47, 9
75.27, 18

Atomic structure:
abc: 5.096 5.096 7.078
angles: 90.00 90.00 90.00
Fractional coordinates of all 16 atoms:
V 0.000 0.000 0.000
Ni 0.000 0.000 0.500
Ni 0.000 0.500 0.000
Ni 0.000 0.500 0.500
Ni 0.244 0.244 0.258
Ni 0.244 0.244 0.742
Ni 0.244 0.756 0.258
Ni 0.244 0.756 0.742
Ni 0.500 0.000 0.000
Ni 0.500 0.000 0.500
Ni 0.500 0.500 0.500
Ni 0.756 0.244 0.258
Ni 0.756 0.244 0.742
Ni 0.756 0.756 0.258
Ni 0.756 0.756 0.742
Sn 0.500 0.500 0.000


Structure and calculated PXRD pattern of Er8Ge5P (a cell relaxed with PBE; λ = 1.5418 Å (Cu Kα)).
Neutral-atom scattering factors, no anomalous dispersion.

Principal peaks in the range 10° ≤ 2θ ≤ 90°, sorted by position:
Position (°2θ), I/Imax
25.08, 28
29.05, 30
32.46, 48
32.62, 100
38.71, 63
38.81, 28
49.14, 12
51.54, 20
53.71, 29
53.85, 22
66.35, 21
70.07, 15

Atomic structure:
abc: 7.531 7.531 7.531
angles: 109.62 109.62 109.17
Fractional coordinates of all 14 atoms:
Er 0.119 0.242 0.746
Er 0.127 0.742 0.751
Er 0.258 0.010 0.385
Er 0.496 0.373 0.254
Er 0.624 0.873 0.615
Er 0.627 0.881 0.123
Er 0.758 0.504 0.877
Er 0.990 0.376 0.249
Ge 0.000 0.000 0.000
Ge 0.251 0.625 0.125
Ge 0.375 0.500 0.626
Ge 0.500 0.126 0.875
Ge 0.874 0.749 0.374
P 0.750 0.250 0.500


What is the formula in the second record?
VNi14Sn